Calculated XRD peak list of RbLi2SiO4 for CuKα, from a cell relaxed with PBE.

Structure:
a = 5.303 Å, b = 5.303 Å, c = 7.575 Å
α = 90.00°, β = 90.00°, γ = 90.00°
Element x y z (fractional)
Rb  0.000  0.000  0.000
Rb  0.500  0.500  0.500
Li  0.000  0.500  0.250
Li  0.000  0.500  0.750
Li  0.500  0.000  0.250
Li  0.500  0.000  0.750
Si  0.000  0.000  0.500
Si  0.500  0.500  0.000
O  0.172  0.172  0.636
O  0.172  0.828  0.364
O  0.328  0.328  0.136
O  0.328  0.672  0.864
O  0.672  0.328  0.864
O  0.672  0.672  0.136
O  0.828  0.172  0.364
O  0.828  0.828  0.636

Main lines, in order of rising 2θ (15° ≤ 2θ ≤ 90°):
(1 0 1), d 4.344, intensity 22
(0 0 2), d 3.788, intensity 32
(1 1 0), d 3.750, intensity 100
(1 1 2), d 2.665, intensity 98
(2 0 0), d 2.651, intensity 21
(1 0 3), d 2.280, intensity 24
(2 1 1), d 2.263, intensity 41
(2 0 2), d 2.172, intensity 36
(2 0 4), d 1.541, intensity 23
(3 1 2), d 1.533, intensity 32